1.
Ce3Np4S12: computed powder X-ray diffraction pattern (Cu Kα X-rays), based on a DFT-relaxed cell (GGA-PBE, Alexandria).
Intensities are scaled so that the largest is 100.

Structural model:
abc: 10.155 10.155 10.155
angles: 90.00 90.00 90.00
Space group Im-3 (No. 204)
Symmetry-distinct sites (fractional):
Ce (0.000, 0.000, 0.500) (multiplicity 6)
Np (0.250, 0.250, 0.250) (multiplicity 8)
S (0.000, 0.319, 0.208) (multiplicity 24)

Peak list (10 most intense, 15 to 90 degrees two-theta, low angle first)
d [Å]	I/Imax
5.078	25
3.590	100
2.539	32
2.271	15
2.073	60
1.795	19
1.606	22
1.357	28
1.197	19
1.135	7

2.
CeNpSeS2: computed powder X-ray diffraction pattern (Cu Kα X-rays), based on a DFT-relaxed cell (GGA-PBE, Alexandria).
Intensities are scaled so that the largest is 100.

Structural model:
abc: 4.336 4.336 12.987
angles: 90.00 90.00 90.00
Space group I4mm (No. 107)
Symmetry-distinct sites (fractional):
Ce (0.000, 0.000, 0.000) (multiplicity 2)
Np (0.000, 0.000, 0.250) (multiplicity 2)
Se (0.000, 0.000, 0.626) (multiplicity 2)
S (0.000, 0.500, 0.371) (multiplicity 4)

Peak list (10 most intense, 15 to 90 degrees two-theta, low angle first)
d [Å]	I/Imax
4.113	39
3.064	100
2.772	12
2.229	53
2.168	27
1.918	11
1.769	29
1.554	17
1.371	13
1.263	13

3.
CeNp2Se6: computed powder X-ray diffraction pattern (Cu Kα X-rays), based on a DFT-relaxed cell (GGA-PBE, Alexandria).
Intensities are scaled so that the largest is 100.

Structural model:
abc: 5.229 5.229 21.007
angles: 90.00 90.00 90.00
Space group I-42m (No. 121)
Symmetry-distinct sites (fractional):
Ce (0.000, 0.000, 0.000) (multiplicity 2)
Np (0.000, 0.000, 0.310) (multiplicity 4)
Se (0.000, 0.500, 0.250) (multiplicity 4)
Se (0.233, 0.233, 0.590) (multiplicity 8)

Peak list (10 most intense, 15 to 90 degrees two-theta, low angle first)
d [Å]	I/Imax
4.190	100
3.697	23
3.487	17
2.540	53
2.340	19
2.218	37
2.141	18
2.095	17
1.849	19
1.826	16

4.
CeNp6Se8: computed powder X-ray diffraction pattern (Cu Kα X-rays), based on a DFT-relaxed cell (GGA-PBE, Alexandria).
Intensities are scaled so that the largest is 100.

Structural model:
abc: 11.605 11.605 11.605
angles: 90.00 90.00 90.00
Space group Fm-3m (No. 225)
Symmetry-distinct sites (fractional):
Ce (0.000, 0.000, 0.000) (multiplicity 4)
Np (0.000, 0.250, 0.250) (multiplicity 24)
Se (0.000, 0.000, 0.257) (multiplicity 24)
Se (0.250, 0.250, 0.250) (multiplicity 8)

Peak list (10 most intense, 15 to 90 degrees two-theta, low angle first)
d [Å]	I/Imax
5.802	11
4.103	10
3.350	32
2.901	100
2.051	75
1.749	17
1.675	27
1.451	12
1.297	34
1.184	26

5.
CeNp4Se5: computed powder X-ray diffraction pattern (Cu Kα X-rays), based on a DFT-relaxed cell (GGA-PBE, Alexandria).
Intensities are scaled so that the largest is 100.

Structural model:
abc: 4.126 4.126 29.178
angles: 90.00 90.00 90.00
Space group I4/mmm (No. 139)
Symmetry-distinct sites (fractional):
Ce (0.000, 0.000, 0.000) (multiplicity 2)
Np (0.000, 0.000, 0.201) (multiplicity 4)
Np (0.000, 0.000, 0.400) (multiplicity 4)
Se (0.000, 0.000, 0.102) (multiplicity 4)
Se (0.000, 0.000, 0.300) (multiplicity 4)
Se (0.000, 0.000, 0.500) (multiplicity 2)

Peak list (10 most intense, 15 to 90 degrees two-theta, low angle first)
d [Å]	I/Imax
3.369	39
2.917	100
2.063	75
1.759	20
1.684	27
1.459	13
1.339	8
1.305	35
1.191	26
1.123	7

6.
Ce3Np2Se8: computed powder X-ray diffraction pattern (Cu Kα X-rays), based on a DFT-relaxed cell (GGA-PBE, Alexandria).
Intensities are scaled so that the largest is 100.

Structural model:
abc: 10.093 14.121 4.945
angles: 90.00 90.00 90.00
Space group Cmmm (No. 65)
Symmetry-distinct sites (fractional):
Ce (0.000, 0.000, 0.000) (multiplicity 2)
Ce (0.222, 0.500, 0.500) (multiplicity 4)
Np (0.000, 0.261, 0.000) (multiplicity 4)
Se (0.000, 0.120, 0.500) (multiplicity 4)
Se (0.000, 0.370, 0.500) (multiplicity 4)
Se (0.241, 0.125, 0.000) (multiplicity 8)

Peak list (10 most intense, 15 to 90 degrees two-theta, low angle first)
d [Å]	I/Imax
4.106	28
4.050	28
2.523	24
2.497	100
2.472	26
2.118	10
1.766	25
1.452	15
1.432	18
1.117	13

7.
CeNpSi: computed powder X-ray diffraction pattern (Cu Kα X-rays), based on a DFT-relaxed cell (GGA-PBE, Alexandria).
Intensities are scaled so that the largest is 100.

Structural model:
abc: 4.7381 4.7381 3.3087
angles: 90.00 90.00 120.00
Space group P3m1 (No. 156)
Symmetry-distinct sites (fractional):
Ce (0.0000, 0.0000, 0.0000) (multiplicity 1)
Np (0.3333, 0.6667, 0.3010) (multiplicity 1)
Si (0.6667, 0.3333, 0.6080) (multiplicity 1)

Peak list (10 most intense, 15 to 90 degrees two-theta, low angle first)
d [Å]	I/Imax
4.103	55
3.309	15
2.576	100
2.369	71
1.926	21
1.744	32
1.534	24
1.404	31
1.288	14
1.131	19

8.
CeNp2Sn9: computed powder X-ray diffraction pattern (Cu Kα X-rays), based on a DFT-relaxed cell (GGA-PBE, Alexandria).
Intensities are scaled so that the largest is 100.

Structural model:
abc: 4.688 4.688 13.941
angles: 90.00 90.00 90.00
Space group P4/mmm (No. 123)
Symmetry-distinct sites (fractional):
Ce (0.000, 0.000, 0.000) (multiplicity 1)
Np (0.000, 0.000, 0.335) (multiplicity 2)
Sn (0.000, 0.500, 0.169) (multiplicity 4)
Sn (0.000, 0.500, 0.500) (multiplicity 2)
Sn (0.500, 0.500, 0.000) (multiplicity 1)
Sn (0.500, 0.500, 0.334) (multiplicity 2)

Peak list (10 most intense, 15 to 90 degrees two-theta, low angle first)
d [Å]	I/Imax
4.688	4
2.699	100
2.344	34
2.324	17
1.657	12
1.650	24
1.412	29
1.403	14
1.349	12
1.172	4

9.
Ce3Np2Te8: computed powder X-ray diffraction pattern (Cu Kα X-rays), based on a DFT-relaxed cell (GGA-PBE, Alexandria).
Intensities are scaled so that the largest is 100.

Structural model:
abc: 10.700 15.154 5.367
angles: 90.00 90.00 90.00
Space group Cmmm (No. 65)
Symmetry-distinct sites (fractional):
Ce (0.000, 0.000, 0.000) (multiplicity 2)
Ce (0.227, 0.500, 0.500) (multiplicity 4)
Np (0.000, 0.258, 0.000) (multiplicity 4)
Te (0.000, 0.120, 0.500) (multiplicity 4)
Te (0.000, 0.368, 0.500) (multiplicity 4)
Te (0.242, 0.125, 0.000) (multiplicity 8)

Peak list (10 most intense, 15 to 90 degrees two-theta, low angle first)
d [Å]	I/Imax
5.358	7
4.375	28
2.680	100
2.675	19
2.285	15
1.894	21
1.548	22
1.545	20
1.340	8
1.198	14

10.
Ce7O12: computed powder X-ray diffraction pattern (Cu Kα X-rays), based on a DFT-relaxed cell (GGA-PBE, Alexandria).
Intensities are scaled so that the largest is 100.

Structural model:
abc: 10.3670 10.3670 9.5996
angles: 90.00 90.00 120.00
Space group R-3 (No. 148, hexagonal axes)
Symmetry-distinct sites (fractional):
Ce (0.0000, 0.0000, 0.0000) (multiplicity 3)
Ce (0.0464, 0.2547, 0.6535) (multiplicity 18)
O (0.0351, 0.2199, 0.3975) (multiplicity 18)
O (0.0366, 0.2146, 0.8935) (multiplicity 18)

Peak list (10 most intense, 15 to 90 degrees two-theta, low angle first)
d [Å]	I/Imax
3.200	100
2.771	32
2.186	3
1.959	47
1.671	41
1.600	9
1.385	6
1.271	15
1.239	10
1.131	12